Diffraction record for Pm4DyY8. The powder X-ray diffraction pattern is computed, not measured: it uses a DFT-relaxed cell (GGA-PBE, Alexandria) and CuKα.
Kinematic intensities with the Lorentz-polarization factor, no thermal factor.

Main lines, in order of rising 2θ (2θ = 10–90°):
hkl  2θ (°)  d (Å)  intensity
0 2 1  28.0  3.182  20
0 0 9  29.3  3.048  25
0 2 4  30.8  2.903  100
2 0 5  32.4  2.767  38
2 0 8  38.5  2.341  33
2 2 0  49.3  1.850  29
2 2 9  58.4  1.581  18
4 0 4  59.2  1.560  15

Structural model:
```
data_Pm4DyY8
_cell_length_a 7.3995
_cell_length_b 7.3995
_cell_length_c 27.4282
_cell_angle_alpha 90.00
_cell_angle_beta 90.00
_cell_angle_gamma 120.00
_symmetry_space_group_name_H-M 'R -3 m'
_symmetry_Int_Tables_number 166
_symmetry_space_group_name_Hall '-R 3 2"'
loop_
_atom_site_label
_atom_site_fract_x
_atom_site_fract_y
_atom_site_fract_z
Pm1 0.0000 0.0000 0.0000
Pm2 0.0000 0.5000 0.0000
Dy1 0.0000 0.0000 0.5000
Y1 0.0000 0.0000 0.2159
Y2 0.0363 0.5182 0.7689
```